# Tl2CrAgSe4
Calculated XRD peak list, λ = 1.5418 Å (Cu Kα). Input: a PBE-relaxed structure.

Structure:
Cell: 6.0288 13.7167 22.0245 Å, 90.00 90.00 90.00°
Space group Fddd (No. 70, origin choice 2)
One atom of each set of equivalent atoms:
Tl 0.1250 0.1250 0.3068
Cr 0.1250 0.1250 0.1250
Ag 0.1250 0.1250 0.6250
Se 0.0748 0.2737 0.4368

Principal peaks in the range 10 to 80 degrees two-theta, by angle:
20.13°, 4.412 Å, I = 23, hkl 1 1 3; 27.33°, 3.263 Å, I = 100, hkl 1 3 3; 27.56°, 3.236 Å, I = 36, hkl 0 2 6; 31.88°, 2.807 Å, I = 40, hkl 1 3 5; 32.47°, 2.757 Å, I = 48, hkl 0 0 8; 38.07°, 2.364 Å, I = 20, hkl 1 5 3; 38.65°, 2.330 Å, I = 36, hkl 2 0 6; 40.31°, 2.238 Å, I = 13, hkl 0 6 2; 46.82°, 1.941 Å, I = 20, hkl 0 6 6; 50.08°, 1.822 Å, I = 21, hkl 2 6 0


# KAu2F11
Calculated XRD peak list, λ = 1.5418 Å (Cu Kα). Input: a PBE-relaxed structure.

Structure:
Cell: 9.5719 9.7415 10.9412 Å, 90.00 90.00 90.00°
Space group Ibam (No. 72)
One atom of each set of equivalent atoms:
K 0.0000 0.0000 0.2500
Au 0.1437 0.3430 0.0000
F 0.0000 0.5000 0.0000
F 0.0369 0.2483 0.1256
F 0.2253 0.3040 0.5000
F 0.2503 0.0618 0.3740

Principal peaks in the range 10 to 80 degrees two-theta, by angle:
12.97°, 6.828 Å, I = 19, hkl 1 1 0; 16.20°, 5.471 Å, I = 78, hkl 0 0 2; 20.81°, 4.269 Å, I = 42, hkl 1 1 2; 22.03°, 4.035 Å, I = 82, hkl 1 2 1; 22.23°, 3.998 Å, I = 100, hkl 2 1 1; 24.47°, 3.638 Å, I = 16, hkl 0 2 2; 29.04°, 3.075 Å, I = 16, hkl 1 3 0; 32.05°, 2.792 Å, I = 18, hkl 1 2 3; 32.20°, 2.780 Å, I = 29, hkl 2 1 3; 43.05°, 2.101 Å, I = 30, hkl 3 3 2